# AcPr5Nd7
Computed PXRD pattern, a wavelength of 1.5418 Å. Input: a PBE-relaxed structure.
No peak broadening, texture or thermal motion is included.

Structural model:
```
data_AcPr5Nd7
_chemical_formula_sum 'Ac2 Pr10 Nd14'
_cell_length_a 6.888
_cell_length_b 11.584
_cell_length_c 12.102
_cell_angle_alpha 90.00
_cell_angle_beta 90.00
_cell_angle_gamma 90.00
_symmetry_space_group_name_H-M 'I m m 2'
_symmetry_Int_Tables_number 44
loop_
_symmetry_equiv_pos_as_xyz
'x,y,z'
'-x,-y,z'
'-x,y,z'
'x,-y,z'
'x+1/2,y+1/2,z+1/2'
'-x+1/2,-y+1/2,z+1/2'
'-x+1/2,y+1/2,z+1/2'
'x+1/2,-y+1/2,z+1/2'
loop_
_atom_site_label
_atom_site_type_symbol
_atom_site_fract_x
_atom_site_fract_y
_atom_site_fract_z
Ac1 Ac 0.000 0.000 0.000
Pr1 Pr 0.000 0.500 0.263
Pr2 Pr 0.235 0.234 0.794
Nd1 Nd 0.000 0.000 0.324
Nd2 Nd 0.000 0.000 0.609
Nd3 Nd 0.000 0.322 0.533
Nd4 Nd 0.000 0.335 0.031
Nd5 Nd 0.000 0.500 0.758
```

Largest 10 diffraction maxima, by angle, 2θ = 5–70°:
| d [Å] | 2θ/deg | I/Imax | hkl |
| --- | --- | --- | --- |
| 3.368 | 26.46 | 40 | 1 3 0 |
| 3.026 | 29.52 | 61 | 0 0 4 |
| 2.990 | 29.89 | 79 | 2 0 2 |
| 2.960 | 30.19 | 50 | 2 2 0 |
| 2.943 | 30.37 | 100 | 1 3 2 |
| 2.896 | 30.88 | 27 | 0 4 0 |
| 2.659 | 33.71 | 68 | 2 2 2 |
| 2.612 | 34.33 | 25 | 0 4 2 |
| 1.876 | 48.52 | 24 | 3 3 2 |
| 1.684 | 54.49 | 30 | 2 6 0 |